For TiV4CuO12, a DFT-relaxed cell (GGA+U, Alexandria) gives the theoretical XRD peak list in this record (a wavelength of 1.5418 Å).
Intensities are scaled so that the largest is 100.

Atomic structure:
```
18
Lattice="5.050 -4.548 0.000 5.050 4.548 0.000 -2.024 0.000 5.489" Properties=species:S:1:pos:R:3 pbc="T T T"
Ti 0.000 0.000 0.000
V 1.958 0.006 2.709
V 2.993 -1.652 0.024
V 6.118 0.006 2.780
V 5.083 -1.652 5.465
Cu 4.038 2.857 2.745
O -0.611 1.232 5.370
O 3.710 3.003 0.507
O 0.358 -0.155 1.983
O 2.457 1.599 2.779
O 4.366 3.003 4.982
O 1.950 -0.682 4.376
O 3.102 -0.910 1.644
O 5.618 1.599 2.710
O 6.125 -0.682 1.113
O 8.687 1.232 0.119
O 4.974 -0.910 3.846
O 7.717 -0.155 3.506
```

Principal peaks in the range 2θ = 10–90°, in order of rising 2θ:
- d 6.562, intensity 23
- d 4.816, intensity 51
- d 4.548, intensity 43
- d 3.787, intensity 24
- d 3.171, intensity 100
- d 2.984, intensity 59
- d 2.745, intensity 43
- d 2.559, intensity 27
- d 2.022, intensity 22
- d 1.681, intensity 20